Entry 1:
The following is a computed PXRD pattern of NaHoSiS4. It was derived from the PBE geometry in Alexandria, using Cu Kα, 1.54184 Å.
No peak broadening, texture or thermal motion is included.

Crystal structure
```
NaHoSiS4
1.0
6.374 0.000 0.000
0.000 6.582 0.000
-2.167 0.000 7.652
Na Ho Si S
2 2 2 8
Direct
0.247 0.250 0.437 Na
0.753 0.750 0.563 Na
0.277 0.250 0.946 Ho
0.723 0.750 0.054 Ho
0.262 0.750 0.183 Si
0.738 0.250 0.817 Si
0.059 0.750 0.351 S
0.077 0.750 0.917 S
0.488 0.501 0.228 S
0.488 0.999 0.228 S
0.512 0.001 0.772 S
0.512 0.499 0.772 S
0.923 0.250 0.083 S
0.941 0.250 0.649 S
```

Top 8 peaks for 2θ from 15° to 90°, by angle:
- 17.78 deg, I 59
- 19.79 deg, I 100
- 20.86 deg, I 68
- 27.10 deg, I 71
- 33.68 deg, I 91
- 34.90 deg, I 79
- 36.39 deg, I 55
- 40.20 deg, I 55

Entry 2:
The following is a computed PXRD pattern of AgP5Se8. It was derived from the PBE geometry in Alexandria, using Cu Kα, 1.54184 Å.
No peak broadening, texture or thermal motion is included.

Crystal structure
```
AgP5Se8
1.0
6.095 0.000 0.000
0.000 6.095 0.000
0.000 0.000 9.658
Ag P Se
1 5 8
Direct
0.000 0.000 0.000 Ag
0.000 0.500 0.263 P
0.000 0.500 0.737 P
0.500 0.000 0.263 P
0.500 0.000 0.737 P
0.500 0.500 0.500 P
0.233 0.233 0.623 Se
0.233 0.767 0.377 Se
0.259 0.259 0.154 Se
0.259 0.741 0.846 Se
0.741 0.259 0.846 Se
0.741 0.741 0.154 Se
0.767 0.233 0.377 Se
0.767 0.767 0.623 Se
```

Top 8 peaks for 2θ from 15° to 90°, by angle:
- 17.20 deg, I 9
- 27.74 deg, I 100
- 29.30 deg, I 12
- 34.18 deg, I 10
- 41.92 deg, I 28
- 48.08 deg, I 32
- 51.02 deg, I 34
- 81.01 deg, I 12

Entry 3:
The following is a computed PXRD pattern of SrGe3Rh3. It was derived from the PBE geometry in Alexandria, using Cu Kα, 1.54184 Å.
No peak broadening, texture or thermal motion is included.

Crystal structure
```
SrGe3Rh3
1.0
6.770 0.000 0.000
0.000 6.770 0.000
0.000 0.000 6.770
Sr Ge Rh
2 6 6
Direct
0.000 0.000 0.000 Sr
0.500 0.500 0.500 Sr
0.000 0.250 0.500 Ge
0.000 0.750 0.500 Ge
0.250 0.500 0.000 Ge
0.500 0.000 0.250 Ge
0.500 0.000 0.750 Ge
0.750 0.500 0.000 Ge
0.000 0.500 0.250 Rh
0.000 0.500 0.750 Rh
0.250 0.000 0.500 Rh
0.500 0.250 0.000 Rh
0.500 0.750 0.000 Rh
0.750 0.000 0.500 Rh
```

Top 8 peaks for 2θ from 15° to 90°, by angle:
- 18.53 deg, I 24
- 26.33 deg, I 43
- 32.39 deg, I 100
- 46.46 deg, I 34
- 50.44 deg, I 56
- 54.19 deg, I 31
- 80.20 deg, I 19
- 89.17 deg, I 17